Starting from a DFT-relaxed cell (PBE, Alexandria), the powder X-ray diffraction pattern of Ac2HoErSb4 was simulated for Cu Kα (weighted mean of Kα1 and Kα2).

Main lines, sorted by position (10° ≤ 2θ ≤ 90°):
d 3.740, 23.8°, I 10, (2 0 0)
d 3.239, 27.5°, I 100, (1 1 1)
d 2.290, 39.3°, I 77, (0 2 0)
d 1.871, 48.7°, I 21, (0 0 4)
d 1.867, 48.8°, I 6, (4 0 0)
d 1.620, 56.8°, I 13, (2 2 2)
d 1.450, 64.3°, I 18, (1 3 1)
d 1.448, 64.4°, I 16, (4 2 0)
d 1.323, 71.3°, I 20, (2 0 -6)
d 1.320, 71.4°, I 5, (5 1 1)

Structural model:
```
data_Ac2HoErSb4
_chemical_formula_sum 'Ac2 Ho1 Er1 Sb4'
_space_group_name_H-M_alt 'P 1 2/m 1'
_space_group_IT_number 10
_space_group_name_Hall '-P 2y'
_cell_length_a 7.9219
_cell_length_b 4.5861
_cell_length_c 7.9393
_cell_angle_alpha 90.00
_cell_angle_beta 109.51
_cell_angle_gamma 90.00
loop_
_atom_site_label
_atom_site_type_symbol
_atom_site_fract_x
_atom_site_fract_y
_atom_site_fract_z
Ac1 Ac 0.0000 0.0000 0.0000
Ac2 Ac 0.0000 0.5000 0.5000
Ho1 Ho 0.5000 0.0000 0.5000
Er1 Er 0.5000 0.5000 0.0000
Sb1 Sb 0.2752 0.0000 0.7588
Sb2 Sb 0.2748 0.5000 0.2578
```